Diffraction record for Na5Ce3Ti6Nb2O24. The PXRD pattern is computed, not measured: it uses the GGA-PBE geometry in the Materials Project and Cu Ka.

```
Na5Ce3Ti6Nb2O24
1.0
5.5122 0.0000 0.0000
0.0043 5.5385 0.0000
0.0145 0.0001 15.5211
Na Ce Ti Nb O
5 3 6 2 24
Direct
0.0000 0.0000 0.0000
0.0029 0.9958 0.5009
0.4714 0.4964 0.4999
0.4948 0.4882 0.2486
0.5035 0.4871 0.7517
0.4790 0.5067 0.0008
0.9789 0.9830 0.2478
0.9861 0.9810 0.7525
0.4868 0.9921 0.3711
0.4953 0.9950 0.1223
0.4964 0.9948 0.8768
0.9946 0.4916 0.6298
0.9950 0.4923 0.8759
0.9946 0.4927 0.1265
0.4922 0.9932 0.6186
0.9865 0.4913 0.3819
0.0621 0.4972 0.2465
0.0687 0.4979 0.7519
0.2259 0.7557 0.3901
0.2285 0.7505 0.6096
0.2354 0.7461 0.1021
0.2370 0.2410 0.3912
0.2405 0.7455 0.8976
0.2418 0.2493 0.6085
0.2515 0.2559 0.1008
0.2571 0.2569 0.8990
0.3987 0.9962 0.2472
0.4042 0.9969 0.7538
0.5674 0.9901 0.4974
0.5677 0.9853 0.0001
0.7320 0.7463 0.3472
0.7350 0.7404 0.1449
0.7415 0.7405 0.8548
0.7422 0.2297 0.3472
0.7439 0.7434 0.6522
0.7502 0.2299 0.1456
0.7575 0.2291 0.8540
0.7568 0.2304 0.6521
0.8985 0.4892 0.9994
0.9036 0.4912 0.5019
```

Largest 12 diffraction maxima, in order of rising 2θ, 2θ = 15–90°:
| index | 2θ/deg | Rel. int. |
| --- | --- | --- |
| 1 0 -2 | 19.7 | 46 |
| 1 -1 1 | 23.5 | 11 |
| 0 2 0 | 32.3 | 20 |
| -1 1 4 | 32.5 | 100 |
| 2 1 2 | 38.2 | 12 |
| 1 0 -6 | 38.4 | 10 |
| 2 2 0 | 46.5 | 32 |
| 0 0 8 | 46.8 | 14 |
| -1 3 4 | 57.8 | 15 |
| 3 1 -4 | 58.0 | 19 |
| 0 2 8 | 58.1 | 14 |
| 2 2 8 | 68.1 | 14 |